Record 1
Starting from a DFT-relaxed cell (PBE, Alexandria), the XRD peak list of TbNpB12 was calculated for Cu Kα (weighted mean of Kα1 and Kα2).
No peak broadening, texture or thermal motion is included.

Peak list (10 most intense, 5 to 70 degrees two-theta, sorted by position)
d (Å), I_rel, index
8.194, 6, 0 0 1
4.094, 77, 1 0 0
3.662, 4, 1 0 1
2.895, 100, 1 1 0
2.364, 42, 1 1 2
2.047, 21, 2 0 0
1.831, 52, 2 1 0
1.672, 31, 2 1 2
1.448, 11, 2 2 0
1.365, 28, 2 2 2

Crystal structure
Lattice parameters (Å, degrees): 4.0933 4.0933 8.1935 90.00 90.00 90.00
Space group P4/mmm (No. 123)
One atom of each set of equivalent atoms:
Tb  0.0000  0.0000  0.0000 [1 per cell]
Np  0.0000  0.0000  0.5000 [1 per cell]
B  0.1983  0.5000  0.2499 [8 per cell]
B  0.5000  0.5000  0.0994 [2 per cell]
B  0.5000  0.5000  0.4009 [2 per cell]

---

Record 2
Starting from a DFT-relaxed cell (PBE, Alexandria), the XRD peak list of NpTcB was calculated for Cu Kα (weighted mean of Kα1 and Kα2).
No peak broadening, texture or thermal motion is included.

Peak list (10 most intense, 5 to 70 degrees two-theta, sorted by position)
d (Å), I_rel, index
7.276, 81, 0 0 3
3.157, 35, 1 0 1
3.063, 35, 0 1 2
2.754, 51, 1 0 4
2.576, 45, 0 1 5
2.230, 100, 1 0 7
2.074, 19, 0 1 8
1.842, 62, 1 1 0
1.420, 24, 0 2 7
1.401, 19, 0 1 14

Crystal structure
Lattice parameters (Å, degrees): 3.6843 3.6843 21.8279 90.00 90.00 120.00
Space group R-3m (No. 166, hexagonal axes)
One atom of each set of equivalent atoms:
Np  0.0000  0.0000  0.1372 [6 per cell]
Tc  0.0000  0.0000  0.2889 [6 per cell]
B  0.0000  0.0000  0.3914 [6 per cell]

---

Record 3
Starting from a DFT-relaxed cell (PBE, Alexandria), the XRD peak list of Np2VB10 was calculated for Cu Kα (weighted mean of Kα1 and Kα2).
No peak broadening, texture or thermal motion is included.

Peak list (10 most intense, 5 to 70 degrees two-theta, sorted by position)
d (Å), I_rel, index
4.117, 39, 0 0 1
3.998, 84, 1 2 0
2.868, 100, 1 2 1
2.833, 17, 2 0 0
2.821, 20, 0 4 0
2.334, 33, 2 0 1
2.327, 37, 0 4 1
1.999, 20, 2 4 0
1.830, 28, 1 2 2
1.798, 17, 2 4 1

Crystal structure
Lattice parameters (Å, degrees): 5.6667 11.2828 4.1166 90.00 90.00 90.00
Space group Pbam (No. 55)
One atom of each set of equivalent atoms:
Np  0.2131  0.1358  0.0000 [4 per cell]
V  0.0000  0.5000  0.5000 [2 per cell]
B  0.0581  0.3078  0.5000 [4 per cell]
B  0.1203  0.9594  0.5000 [4 per cell]
B  0.1315  0.8024  0.5000 [4 per cell]
B  0.2229  0.3821  0.1990 [8 per cell]

---

Record 4
Starting from a DFT-relaxed cell (PBE, Alexandria), the XRD peak list of BO3 was calculated for Cu Kα (weighted mean of Kα1 and Kα2).
No peak broadening, texture or thermal motion is included.

Peak list (10 most intense, 5 to 70 degrees two-theta, sorted by position)
d (Å), I_rel, index
5.653, 9, 1 0 0
4.771, 100, 1 0 1
2.964, 61, 0 0 3
2.694, 24, 2 0 1
2.628, 22, 0 1 3
2.137, 49, 1 2 0
2.078, 10, 3 -1 1
2.069, 12, 1 0 4
1.747, 9, 2 0 4
1.733, 23, 1 2 3

Crystal structure
Lattice parameters (Å, degrees): 6.5280 6.5280 8.8918 90.00 90.00 120.00
Space group P3_2 (No. 145)
One atom of each set of equivalent atoms:
B  0.0352  0.7809  0.0000 [3 per cell]
B  0.0668  0.6186  0.3110 [3 per cell]
O  0.0638  0.0435  0.6049 [3 per cell]
O  0.1211  0.4540  0.3561 [3 per cell]
O  0.1456  0.3842  0.9619 [3 per cell]
O  0.1530  0.4202  0.7027 [3 per cell]
O  0.4431  0.2771  0.9449 [3 per cell]
O  0.4533  0.3168  0.6940 [3 per cell]

---

Record 5
Starting from a DFT-relaxed cell (PBE, Alexandria), the XRD peak list of B4O5 was calculated for Cu Kα (weighted mean of Kα1 and Kα2).
No peak broadening, texture or thermal motion is included.

Peak list (10 most intense, 5 to 70 degrees two-theta, sorted by position)
d (Å), I_rel, index
4.985, 65, 1 1 0
4.652, 100, 0 1 1
4.207, 50, 1 0 1
2.931, 17, 1 2 1
2.829, 17, 0 0 2
2.606, 16, 2 1 1
2.454, 21, 0 3 1
2.326, 9, 0 2 2
2.104, 8, 2 0 2
1.967, 7, 3 0 1

Crystal structure
Lattice parameters (Å, degrees): 6.2918 8.1700 5.6581 90.00 90.00 90.00
Space group Imm2 (No. 44)
One atom of each set of equivalent atoms:
B  0.0000  0.2250  0.0000 [4 per cell]
B  0.1587  0.0000  0.8396 [4 per cell]
O  0.0000  0.0000  0.6647 [2 per cell]
O  0.1935  0.1502  0.9536 [8 per cell]

---

Record 6
Starting from a DFT-relaxed cell (PBE, Alexandria), the XRD peak list of BO was calculated for Cu Kα (weighted mean of Kα1 and Kα2).
No peak broadening, texture or thermal motion is included.

Peak list (10 most intense, 5 to 70 degrees two-theta, sorted by position)
d (Å), I_rel, index
4.759, 100, 0 0 1
3.260, 7, 0 1 0
3.108, 43, 0 1 1
2.404, 11, 0 1 -1
1.982, 9, 1 0 -1
1.952, 9, 1 1 2
1.715, 7, 0 1 -2
1.429, 4, 0 2 -1
1.396, 5, -1 1 2
1.380, 4, 1 2 3

Crystal structure
Lattice parameters (Å, degrees): 2.4867 3.6064 5.0760 71.03 76.80 69.84
Space group P-1 (No. 2)
One atom of each set of equivalent atoms:
B  0.1360  0.2779  0.4464 [2 per cell]
O  0.2472  0.8325  0.6857 [2 per cell]

---

Record 7
Starting from a DFT-relaxed cell (PBE, Alexandria), the XRD peak list of SrBOsO6 was calculated for Cu Kα (weighted mean of Kα1 and Kα2).
No peak broadening, texture or thermal motion is included.

Peak list (10 most intense, 5 to 70 degrees two-theta, sorted by position)
d (Å), I_rel, index
5.204, 61, 0 1 0
4.993, 54, 0 0 1
4.800, 89, 1 0 0
4.361, 70, 1 0 1
3.614, 83, 0 1 1
3.592, 73, 0 1 -1
3.551, 100, 1 1 0
3.507, 80, 1 -1 0
3.316, 61, 1 -1 1
2.956, 39, 1 0 -1

Crystal structure
Lattice parameters (Å, degrees): 5.1689 5.2049 5.3766 89.35 68.24 89.09
Space group P1 (No. 1)
One atom of each set of equivalent atoms:
Sr  0.0000  0.0000  0.0000 [1 per cell]
B  0.5337  0.5816  0.1179 [1 per cell]
Os  0.6615  0.4939  0.6231 [1 per cell]
O  0.3512  0.3172  0.7022 [1 per cell]
O  0.3908  0.7170  0.9899 [1 per cell]
O  0.5858  0.6839  0.3315 [1 per cell]
O  0.6782  0.3631  0.9808 [1 per cell]
O  0.8904  0.7427  0.6328 [1 per cell]
O  0.9115  0.2724  0.4059 [1 per cell]